# Ce2Ga3Si
Theoretical XRD peak list, Cu Kα (weighted mean of Kα1 and Kα2). Input: the PBE geometry in Alexandria.
Intensities are scaled so that the largest is 100.

Peak list (8 most intense, 2θ from 10° to 90°, by angle)
two_theta  I (rel.)  (hkl)
24.41  17  0 1 1
32.47  100  1 1 1
42.90  26  2 0 0
43.00  26  0 1 3
54.82  15  1 2 2
62.34  25  2 2 0
72.01  16  3 1 1
72.17  13  1 1 5

Cell and atoms:
a b c (Å): 4.215 4.217 7.280
angles (deg): 90.00 90.00 90.00
Space group Pmm2 (No. 25)
Asymmetric unit:
Ce 0.000 0.000 0.000 x1
Ce 0.000 0.500 0.488 x1
Ga 0.500 0.000 0.658 x1
Ga 0.500 0.500 0.162 x1
Ga 0.500 0.500 0.825 x1
Si 0.500 0.000 0.327 x1

=====

# Tb3SmAg3
Theoretical XRD peak list, Cu Kα (weighted mean of Kα1 and Kα2). Input: the PBE geometry in Alexandria.
Intensities are scaled so that the largest is 100.

Peak list (8 most intense, 2θ from 10° to 90°, by angle)
two_theta  I (rel.)  (hkl)
29.29  51  1 3 -1
30.59  54  3 1 -1
31.31  81  2 0 2
33.21  73  0 4 0
35.28  100  2 2 -2
35.69  32  4 0 0
39.00  44  3 3 1
39.53  42  4 2 0

Cell and atoms:
a b c (Å): 10.063 10.790 6.992
angles (deg): 90.00 90.58 90.00
Space group C2/m (No. 12)
Asymmetric unit:
Tb 0.000 0.184 0.000 x4
Tb 0.000 0.259 0.500 x4
Tb 0.121 0.500 0.838 x4
Sm 0.244 0.500 0.344 x4
Ag 0.075 0.000 0.311 x4
Ag 0.242 0.235 0.231 x8

=====

# K4CaGe2
Theoretical XRD peak list, Cu Kα (weighted mean of Kα1 and Kα2). Input: the PBE geometry in Alexandria.
Intensities are scaled so that the largest is 100.

Peak list (8 most intense, 2θ from 10° to 90°, by angle)
two_theta  I (rel.)  (hkl)
10.36  62  0 0 2
13.52  50  1 0 1
17.69  67  1 1 0
25.12  100  2 0 0
27.24  26  2 0 2
32.84  26  2 0 4
35.82  38  2 2 0
36.29  33  1 1 6

Cell and atoms:
a b c (Å): 7.090 7.090 17.081
angles (deg): 90.00 90.00 90.00
Space group I4/mmm (No. 139)
Asymmetric unit:
K 0.000 0.000 0.240 x4
K 0.000 0.500 0.000 x4
Ca 0.000 0.000 0.000 x2
Ge 0.000 0.000 0.433 x4